Pr2CuSnS5: computed PXRD pattern (λ = 1.5418 Å (Cu Kα)), based on a PBE-relaxed structure.
No peak broadening, texture or thermal motion is included.

Structure:
```
data_Pr2CuSnS5
_chemical_formula_sum 'Pr4 Cu2 Sn2 S10'
_space_group_name_H-M_alt 'P 1'
_space_group_IT_number 1
_space_group_name_Hall 'P 1'
_cell_length_a 8.6150
_cell_length_b 8.6150
_cell_length_c 11.8502
_cell_angle_alpha 90.00
_cell_angle_beta 90.00
_cell_angle_gamma 153.59
loop_
_atom_site_label
_atom_site_type_symbol
_atom_site_fract_x
_atom_site_fract_y
_atom_site_fract_z
_atom_site_occupancy
Pr1 Pr 0.1151 0.8849 0.5000 1
Pr2 Pr 0.1193 0.8807 0.1180 1
Pr3 Pr 0.8807 0.1193 0.6180 1
Pr4 Pr 0.8849 0.1151 0.0000 1
Cu1 Cu 0.4986 0.5014 0.8002 1
Cu2 Cu 0.5014 0.4986 0.3002 1
Sn1 Sn 0.1901 0.8099 0.8152 1
Sn2 Sn 0.8099 0.1901 0.3152 1
S1 S 0.0399 0.9601 0.8795 1
S2 S 0.2913 0.7087 0.4750 1
S3 S 0.2986 0.7014 0.1480 1
S4 S 0.3555 0.6445 0.8119 1
S5 S 0.4942 0.5058 0.1061 1
S6 S 0.5058 0.4942 0.6061 1
S7 S 0.6445 0.3555 0.3119 1
S8 S 0.7014 0.2986 0.6480 1
S9 S 0.7087 0.2913 0.9750 1
S10 S 0.9601 0.0399 0.3795 1
```

Largest 10 diffraction maxima, in order of rising 2θ, 2θ = 10–80°:
2theta	I (rel.)
24.92	49.2
26.03	30.5
27.72	65.5
32.56	100.0
32.92	26.5
35.15	21.9
38.39	40.0
45.93	20.6
46.13	26.5
59.70	17.9